(1)
# MoC4IO4
Simulated powder diffractogram, Cu Kα X-rays. Input: a structure optimized by DFT (PBE+U).
Peak positions follow from Bragg's law for the DFT cell and can differ from measured ones.

The 8 most intense peaks (5 to 70 degrees two-theta), by intensity:
- 12.91°, rel. 100.0
- 10.78°, rel. 86.8
- 13.28°, rel. 51.7
- 14.10°, rel. 31.8
- 29.36°, rel. 26.6
- 29.83°, rel. 24.0
- 29.19°, rel. 23.9
- 25.99°, rel. 21.8

Crystal structure
```
data_MoC4IO4
_cell_length_a 9.3925
_cell_length_b 9.8217
_cell_length_c 10.9431
_cell_angle_alpha 88.24
_cell_angle_beta 83.20
_cell_angle_gamma 61.59
_symmetry_space_group_name_H-M 'P 1'
_symmetry_Int_Tables_number 1
loop_
_symmetry_equiv_pos_as_xyz
'x,y,z'
loop_
_atom_site_label
_atom_site_type_symbol
_atom_site_fract_x
_atom_site_fract_y
_atom_site_fract_z
Mo1 Mo 0.1966 0.3653 0.0187
Mo2 Mo 0.1978 0.8714 0.5183
Mo3 Mo 0.8022 0.1286 0.4817
Mo4 Mo 0.8034 0.6347 0.9813
C1 C 0.1229 0.7037 0.5590
C2 C 0.1700 0.4593 0.1946
C3 C 0.2249 0.2765 0.8411
C4 C 0.2654 0.0433 0.4737
C5 C 0.3136 0.1550 0.0932
C6 C 0.3415 0.8063 0.6567
C7 C 0.3961 0.7082 0.4136
C8 C 0.4234 0.3418 0.9748
C9 C 0.5766 0.6582 0.0252
C10 C 0.6039 0.2918 0.5864
C11 C 0.6585 0.1937 0.3433
C12 C 0.6864 0.8450 0.9068
C13 C 0.7346 0.9567 0.5263
C14 C 0.7751 0.7235 0.1589
C15 C 0.8300 0.5407 0.8054
C16 C 0.8771 0.2963 0.4410
I1 I 0.0522 0.9327 0.2908
I2 I 0.0896 0.6750 0.9283
I3 I 0.9104 0.3250 0.0717
I4 I 0.9478 0.0673 0.7092
O1 O 0.0885 0.6069 0.5824
O2 O 0.1675 0.5042 0.2914
O3 O 0.2507 0.2240 0.7428
O4 O 0.3093 0.1331 0.4467
O5 O 0.3872 0.0350 0.1357
O6 O 0.4282 0.7648 0.7328
O7 O 0.4447 0.6777 0.0509
O8 O 0.4880 0.3866 0.6433
O9 O 0.5120 0.6134 0.3567
O10 O 0.5553 0.3223 0.9491
O11 O 0.5718 0.2352 0.2672
O12 O 0.6128 0.9650 0.8643
O13 O 0.6907 0.8669 0.5533
O14 O 0.7493 0.7760 0.2572
O15 O 0.8325 0.4958 0.7086
O16 O 0.9115 0.3931 0.4176
```

(2)
# KLiMnPCO7
Simulated powder diffractogram, Cu Kα X-rays. Input: a structure optimized by DFT (PBE+U).
Peak positions follow from Bragg's law for the DFT cell and can differ from measured ones.

The 8 most intense peaks (5 to 70 degrees two-theta), by intensity:
- 8.85°, rel. 100.0
- 23.94°, rel. 26.4
- 16.60°, rel. 26.0
- 28.25°, rel. 25.3
- 21.66°, rel. 23.9
- 33.22°, rel. 21.2
- 28.45°, rel. 18.8
- 31.16°, rel. 13.7

Crystal structure
```
data_KLiMnPCO7
_cell_length_a 5.3961
_cell_length_b 6.3174
_cell_length_c 9.9927
_cell_angle_alpha 90.00
_cell_angle_beta 91.63
_cell_angle_gamma 90.00
_symmetry_space_group_name_H-M 'P 1'
_symmetry_Int_Tables_number 1
loop_
_symmetry_equiv_pos_as_xyz
'x,y,z'
loop_
_atom_site_label
_atom_site_type_symbol
_atom_site_fract_x
_atom_site_fract_y
_atom_site_fract_z
K1 K 0.2347 0.0000 0.2571
K2 K 0.7653 0.5000 0.7429
Li1 Li 0.2300 0.4897 0.3838
Li2 Li 0.7700 0.9897 0.6162
Mn1 Mn 0.2263 0.8587 0.8622
Mn2 Mn 0.7737 0.3587 0.1378
P1 P 0.2938 0.3533 0.9416
P2 P 0.7062 0.8533 0.0584
C1 C 0.2663 0.8096 0.5972
C2 C 0.7337 0.3096 0.4028
O1 O 0.0721 0.8444 0.6741
O2 O 0.1480 0.3492 0.0700
O3 O 0.2291 0.7529 0.4761
O4 O 0.2329 0.1643 0.8455
O5 O 0.2369 0.5481 0.8491
O6 O 0.4198 0.8543 0.0265
O7 O 0.4808 0.8342 0.6549
O8 O 0.5192 0.3342 0.3451
O9 O 0.5802 0.3543 0.9735
O10 O 0.7631 0.0481 0.1509
O11 O 0.7671 0.6643 0.1545
O12 O 0.7709 0.2529 0.5239
O13 O 0.8520 0.8492 0.9300
O14 O 0.9279 0.3444 0.3259
```

(3)
# K2LiMnPCO7
Simulated powder diffractogram, Cu Kα X-rays. Input: a structure optimized by DFT (PBE+U).
Peak positions follow from Bragg's law for the DFT cell and can differ from measured ones.

The 8 most intense peaks (5 to 70 degrees two-theta), by intensity:
- 8.86°, rel. 100.0
- 30.88°, rel. 51.5
- 33.53°, rel. 29.4
- 31.67°, rel. 29.2
- 31.37°, rel. 25.7
- 32.13°, rel. 22.6
- 25.05°, rel. 14.9
- 51.40°, rel. 13.5

Crystal structure
```
data_K2LiMnPCO7
_cell_length_a 5.3485
_cell_length_b 7.1108
_cell_length_c 9.9837
_cell_angle_alpha 90.00
_cell_angle_beta 91.77
_cell_angle_gamma 90.00
_symmetry_space_group_name_H-M 'P 1'
_symmetry_Int_Tables_number 1
loop_
_symmetry_equiv_pos_as_xyz
'x,y,z'
loop_
_atom_site_label
_atom_site_type_symbol
_atom_site_fract_x
_atom_site_fract_y
_atom_site_fract_z
K1 K 0.2490 0.0172 0.2370
K2 K 0.2490 0.4828 0.2370
K3 K 0.7510 0.5172 0.7630
K4 K 0.7510 0.9828 0.7630
Li1 Li 0.1916 0.7500 0.4953
Li2 Li 0.8084 0.2500 0.5047
Mn1 Mn 0.2676 0.2500 0.8744
Mn2 Mn 0.7324 0.7500 0.1256
P1 P 0.2166 0.7500 0.9228
P2 P 0.7834 0.2500 0.0772
C1 C 0.2537 0.2500 0.5682
C2 C 0.7463 0.7500 0.4318
O1 O 0.0694 0.2500 0.0471
O2 O 0.0979 0.2500 0.6676
O3 O 0.1541 0.2500 0.4476
O4 O 0.2752 0.5703 0.8407
O5 O 0.2752 0.9297 0.8407
O6 O 0.3605 0.7500 0.0613
O7 O 0.4931 0.2500 0.5907
O8 O 0.5069 0.7500 0.4093
O9 O 0.6395 0.2500 0.9387
O10 O 0.7248 0.0703 0.1593
O11 O 0.7248 0.4297 0.1593
O12 O 0.8459 0.7500 0.5524
O13 O 0.9021 0.7500 0.3324
O14 O 0.9306 0.7500 0.9529
```

(4)
# K2MnC4O10
Simulated powder diffractogram, Cu Kα X-rays. Input: a structure optimized by DFT (PBE+U).
Peak positions follow from Bragg's law for the DFT cell and can differ from measured ones.

The 8 most intense peaks (5 to 70 degrees two-theta), by intensity:
- 15.51°, rel. 100.0
- 27.40°, rel. 74.1
- 21.43°, rel. 42.7
- 27.61°, rel. 38.1
- 43.66°, rel. 31.4
- 37.03°, rel. 30.6
- 34.82°, rel. 18.5
- 12.90°, rel. 18.3

Crystal structure
```
data_K2MnC4O10
_cell_length_a 7.3850
_cell_length_b 7.3850
_cell_length_c 10.3062
_cell_angle_alpha 90.00
_cell_angle_beta 90.00
_cell_angle_gamma 111.69
_symmetry_space_group_name_H-M 'P 1'
_symmetry_Int_Tables_number 1
loop_
_symmetry_equiv_pos_as_xyz
'x,y,z'
loop_
_atom_site_label
_atom_site_type_symbol
_atom_site_fract_x
_atom_site_fract_y
_atom_site_fract_z
K1 K 0.1377 0.3449 0.0000
K2 K 0.3449 0.1377 0.5000
K3 K 0.6551 0.8623 0.0000
K4 K 0.8623 0.6551 0.5000
Mn1 Mn 0.3277 0.6723 0.7197
Mn2 Mn 0.6723 0.3277 0.2197
C1 C 0.0966 0.9034 0.7808
C2 C 0.1564 0.8436 0.9118
C3 C 0.3528 0.6472 0.4319
C4 C 0.4286 0.5714 0.3031
C5 C 0.5714 0.4286 0.8031
C6 C 0.6472 0.3528 0.9319
C7 C 0.8436 0.1564 0.4118
C8 C 0.9034 0.0966 0.2808
O1 O 0.0044 0.9956 0.2781
O2 O 0.1034 0.8966 0.0134
O3 O 0.1165 0.4771 0.7077
O4 O 0.1595 0.8405 0.6783
O5 O 0.2529 0.7471 0.4161
O6 O 0.2628 0.7372 0.9039
O7 O 0.3843 0.6157 0.1963
O8 O 0.4069 0.5931 0.5393
O9 O 0.4676 0.5324 0.8307
O10 O 0.4771 0.1165 0.2077
O11 O 0.5229 0.8835 0.7077
O12 O 0.5324 0.4676 0.3307
O13 O 0.5931 0.4069 0.0393
O14 O 0.6157 0.3843 0.6963
O15 O 0.7372 0.2628 0.4039
O16 O 0.7471 0.2529 0.9161
O17 O 0.8405 0.1595 0.1783
O18 O 0.8835 0.5229 0.2077
O19 O 0.8966 0.1034 0.5134
O20 O 0.9956 0.0044 0.7781
```